(1)
This entry pairs a crystal structure of MoRu with its calculated PXRD pattern. Radiation: λ = 1.5418 Å (Cu Kα). Structure: the GGA-PBE geometry in Alexandria.

Main lines, in order of rising 2θ (10° ≤ 2θ ≤ 80°):
hkl, d (Å), I (rel.)
1 0 0, 2.406, 25
0 0 2, 2.224, 26
1 0 1, 2.116, 100
1 0 2, 1.633, 14
1 1 0, 1.389, 17
1 0 3, 1.262, 18
2 0 0, 1.203, 3

Structure:
Cell lengths 2.7778, 2.7778, 4.4486 Å; angles 90.00, 90.00, 120.00 degrees
Space group P-6m2 (No. 187)
Inequivalent atoms, fractional coordinates:
Mo  0.0000  0.0000  0.0000 [1 per cell]
Ru  0.3333  0.6667  0.5000 [1 per cell]



(2)
This entry pairs a crystal structure of Mo3Ru2 with its calculated PXRD pattern. Radiation: λ = 1.5418 Å (Cu Kα). Structure: the GGA-PBE geometry in Alexandria.

Main lines, in order of rising 2θ (10° ≤ 2θ ≤ 80°):
hkl, d (Å), I (rel.)
0 0 6, 5.753, 1
0 0 15, 2.301, 34
0 1 5, 2.257, 100
1 0 10, 1.964, 64
0 1 20, 1.399, 20
1 1 0, 1.379, 20

Structure:
Cell lengths 2.7581, 2.7581, 34.5187 Å; angles 90.00, 90.00, 120.00 degrees
Space group R-3m (No. 166, hexagonal axes)
Inequivalent atoms, fractional coordinates:
Mo  0.0000  0.0000  0.0000 [3 per cell]
Mo  0.0000  0.0000  0.2027 [6 per cell]
Ru  0.0000  0.0000  0.3994 [6 per cell]



(3)
This entry pairs a crystal structure of MoRu3 with its calculated PXRD pattern. Radiation: λ = 1.5418 Å (Cu Kα). Structure: the GGA-PBE geometry in Alexandria.

Main lines, in order of rising 2θ (10° ≤ 2θ ≤ 80°):
hkl, d (Å), I (rel.)
2 0 0, 2.387, 25
0 0 2, 2.179, 25
2 0 1, 2.093, 100
2 0 2, 1.609, 14
2 2 0, 1.378, 17
2 0 3, 1.241, 18

Structure:
Cell lengths 5.5116, 5.5116, 4.3588 Å; angles 90.00, 90.00, 120.00 degrees
Space group P6_3/mmc (No. 194)
Inequivalent atoms, fractional coordinates:
Mo  0.3333  0.6667  0.2500 [2 per cell]
Ru  0.1671  0.3342  0.7500 [6 per cell]